Record 1
TcNi7Rh4: simulated powder X-ray diffraction pattern (Cu Kα, 1.54184 Å), based on a crystal structure in Alexandria, relaxed with GGA-PBE.

abc: 8.8221 4.3672 8.9046
angles: 90.00 112.80 90.00
Space group C2/m (No. 12)
Inequivalent atoms, fractional coordinates:
Tc (0.0000, 0.0000, 0.0000) [2 per cell]
Ni (0.0000, 0.5000, 0.0000) [2 per cell]
Ni (0.1302, 0.0000, 0.4769) [4 per cell]
Ni (0.1463, 0.5000, 0.6146) [4 per cell]
Ni (0.2173, 0.5000, 0.9119) [4 per cell]
Rh (0.0956, 0.5000, 0.2982) [4 per cell]
Rh (0.1239, 0.0000, 0.7667) [4 per cell]

Most intense lines, 2θ = 10–80°, by angle:
41.37 deg, intensity 100.0; 42.15 deg, intensity 34.3; 43.98 deg, intensity 65.5; 44.18 deg, intensity 28.4; 48.75 deg, intensity 30.2; 59.95 deg, intensity 21.3

Record 2
Tc2Ni2Rh: simulated powder X-ray diffraction pattern (Cu Kα, 1.54184 Å), based on a crystal structure in Alexandria, relaxed with GGA-PBE.

abc: 8.2988 3.7427 8.3832
angles: 90.00 90.39 90.00
Space group C2/m (No. 12)
Inequivalent atoms, fractional coordinates:
Tc (0.0532, 0.0000, 0.3548) [4 per cell]
Tc (0.1502, 0.0000, 0.0492) [4 per cell]
Ni (0.0447, 0.5000, 0.8477) [4 per cell]
Ni (0.1449, 0.5000, 0.5470) [4 per cell]
Rh (0.2460, 0.0000, 0.7447) [4 per cell]

Most intense lines, 2θ = 10–80°, by angle:
41.72 deg, intensity 100.0; 42.08 deg, intensity 96.9; 48.66 deg, intensity 31.7; 48.83 deg, intensity 62.0; 71.04 deg, intensity 9.6; 71.41 deg, intensity 37.8

Record 3
TcNi4Rh: simulated powder X-ray diffraction pattern (Cu Kα, 1.54184 Å), based on a crystal structure in Alexandria, relaxed with GGA-PBE.

abc: 3.6248 10.7833 7.4097
angles: 90.00 90.00 90.00
Space group Cmc2_1 (No. 36)
Inequivalent atoms, fractional coordinates:
Tc (0.0000, 0.1679, 0.0000) [4 per cell]
Ni (0.0000, 0.0045, 0.7544) [4 per cell]
Ni (0.0000, 0.1650, 0.5049) [4 per cell]
Ni (0.0000, 0.3368, 0.2519) [4 per cell]
Ni (0.0000, 0.4991, 0.4974) [4 per cell]
Rh (0.0000, 0.3337, 0.7489) [4 per cell]

Most intense lines, 2θ = 10–80°, by angle:
43.03 deg, intensity 100.0; 49.19 deg, intensity 16.6; 50.35 deg, intensity 15.5; 50.80 deg, intensity 15.4; 73.04 deg, intensity 9.6; 73.40 deg, intensity 9.3

Record 4
TcNi4Rh2: simulated powder X-ray diffraction pattern (Cu Kα, 1.54184 Å), based on a crystal structure in Alexandria, relaxed with GGA-PBE.

abc: 7.9518 18.5631 4.7970
angles: 90.00 90.00 90.00
Space group Fdd2 (No. 43)
Inequivalent atoms, fractional coordinates:
Tc (0.0000, 0.0000, 0.0000) [8 per cell]
Ni (0.1072, 0.0966, 0.7133) [16 per cell]
Ni (0.1127, 0.1150, 0.2227) [16 per cell]
Rh (0.0836, 0.2288, 0.7165) [16 per cell]

Most intense lines, 2θ = 10–80°, by angle:
38.79 deg, intensity 60.3; 39.13 deg, intensity 48.4; 41.57 deg, intensity 32.9; 45.23 deg, intensity 100.0; 46.14 deg, intensity 34.1; 47.99 deg, intensity 46.3

Record 5
Tc2Ni3Rh4: simulated powder X-ray diffraction pattern (Cu Kα, 1.54184 Å), based on a crystal structure in Alexandria, relaxed with GGA-PBE.

abc: 4.6110 6.8692 8.2026
angles: 72.44 74.49 89.52
Space group P-1 (No. 2)
Inequivalent atoms, fractional coordinates:
Tc (0.1179, 0.3647, 0.1101) [2 per cell]
Tc (0.3341, 0.9135, 0.6628) [2 per cell]
Ni (0.1105, 0.1910, 0.4435) [2 per cell]
Ni (0.2206, 0.1427, 0.8890) [2 per cell]
Ni (0.4426, 0.5319, 0.7793) [2 per cell]
Rh (0.0014, 0.5771, 0.3293) [2 per cell]
Rh (0.2151, 0.9752, 0.2211) [2 per cell]
Rh (0.3369, 0.7542, 0.9983) [2 per cell]
Rh (0.4530, 0.6976, 0.4419) [2 per cell]

Most intense lines, 2θ = 10–80°, by angle:
39.05 deg, intensity 46.6; 41.93 deg, intensity 77.9; 44.21 deg, intensity 48.3; 44.40 deg, intensity 100.0; 44.59 deg, intensity 51.0; 44.95 deg, intensity 92.7

Record 6
TcNi6Rh2: simulated powder X-ray diffraction pattern (Cu Kα, 1.54184 Å), based on a crystal structure in Alexandria, relaxed with GGA-PBE.

abc: 5.7416 6.9043 11.2482
angles: 90.00 96.14 90.00
Space group C2/c (No. 15)
Inequivalent atoms, fractional coordinates:
Tc (0.0000, 0.0929, 0.2500) [4 per cell]
Ni (0.0433, 0.1699, 0.0251) [8 per cell]
Ni (0.1394, 0.2492, 0.8312) [8 per cell]
Ni (0.1654, 0.4600, 0.5813) [8 per cell]
Rh (0.2023, 0.3906, 0.3529) [8 per cell]

Most intense lines, 2θ = 10–80°, by angle:
39.59 deg, intensity 41.5; 42.53 deg, intensity 40.0; 42.80 deg, intensity 100.0; 48.28 deg, intensity 25.7; 48.50 deg, intensity 28.2; 49.70 deg, intensity 22.1

Record 7
YTcNiRh2: simulated powder X-ray diffraction pattern (Cu Kα, 1.54184 Å), based on a crystal structure in Alexandria, relaxed with GGA-PBE.

abc: 4.7079 4.7079 4.5188
angles: 90.00 90.00 90.00
Space group P4/mmm (No. 123)
Inequivalent atoms, fractional coordinates:
Y (0.0000, 0.0000, 0.0000) [1 per cell]
Tc (0.5000, 0.5000, 0.5000) [1 per cell]
Ni (0.5000, 0.5000, 0.0000) [1 per cell]
Rh (0.0000, 0.5000, 0.5000) [2 per cell]

Most intense lines, 2θ = 10–80°, by angle:
27.36 deg, intensity 36.0; 33.43 deg, intensity 94.5; 38.23 deg, intensity 100.0; 39.90 deg, intensity 44.3; 55.18 deg, intensity 33.5; 56.45 deg, intensity 62.4

Record 8
Ni5Te12Rh: simulated powder X-ray diffraction pattern (Cu Kα, 1.54184 Å), based on a crystal structure in Alexandria, relaxed with GGA-PBE.

abc: 6.7223 11.6772 11.3652
angles: 90.00 102.28 90.00
Space group C2/m (No. 12)
Inequivalent atoms, fractional coordinates:
Ni (0.0000, 0.0000, 0.0000) [2 per cell]
Ni (0.0000, 0.1668, 0.5000) [4 per cell]
Ni (0.0000, 0.3331, 0.0000) [4 per cell]
Te (0.1137, 0.0000, 0.3813) [4 per cell]
Te (0.1267, 0.3286, 0.3806) [8 per cell]
Te (0.2075, 0.5000, 0.1167) [4 per cell]
Te (0.2087, 0.1666, 0.1182) [8 per cell]
Rh (0.0000, 0.5000, 0.5000) [2 per cell]

Most intense lines, 2θ = 10–80°, by angle:
15.96 deg, intensity 45.2; 29.62 deg, intensity 100.0; 29.97 deg, intensity 51.7; 32.37 deg, intensity 39.2; 32.69 deg, intensity 72.4; 46.78 deg, intensity 65.5

Record 9
Ni2Te3Rh: simulated powder X-ray diffraction pattern (Cu Kα, 1.54184 Å), based on a crystal structure in Alexandria, relaxed with GGA-PBE.

abc: 7.3697 3.6835 10.1133
angles: 90.00 105.83 90.00
Space group P2_1/m (No. 11)
Inequivalent atoms, fractional coordinates:
Ni (0.0454, 0.2500, 0.4257) [2 per cell]
Ni (0.4087, 0.7500, 0.9121) [2 per cell]
Te (0.0548, 0.7500, 0.8273) [2 per cell]
Te (0.2816, 0.7500, 0.5152) [2 per cell]
Te (0.4078, 0.7500, 0.1624) [2 per cell]
Rh (0.2297, 0.2500, 0.7032) [2 per cell]

Most intense lines, 2θ = 10–80°, by angle:
13.29 deg, intensity 100.0; 27.50 deg, intensity 46.8; 29.07 deg, intensity 48.3; 30.98 deg, intensity 50.8; 36.49 deg, intensity 44.8; 49.47 deg, intensity 55.6

Record 10
Th4NiRh: simulated powder X-ray diffraction pattern (Cu Kα, 1.54184 Å), based on a crystal structure in Alexandria, relaxed with GGA-PBE.

abc: 7.1271 7.1271 6.0021
angles: 90.00 90.00 90.00
Space group P4/mcc (No. 124)
Inequivalent atoms, fractional coordinates:
Th (0.1648, 0.3307, 0.0000) [8 per cell]
Ni (0.0000, 0.0000, 0.2500) [2 per cell]
Rh (0.5000, 0.5000, 0.2500) [2 per cell]

Most intense lines, 2θ = 10–80°, by angle:
31.79 deg, intensity 100.0; 39.25 deg, intensity 24.6; 40.00 deg, intensity 22.9; 54.12 deg, intensity 23.1; 55.31 deg, intensity 21.9; 63.46 deg, intensity 17.9

Record 11
ThNi3Rh: simulated powder X-ray diffraction pattern (Cu Kα, 1.54184 Å), based on a crystal structure in Alexandria, relaxed with GGA-PBE.

abc: 4.8711 7.2031 4.9523
angles: 90.00 90.00 90.00
Space group Cmmm (No. 65)
Inequivalent atoms, fractional coordinates:
Th (0.0000, 0.0000, 0.0000) [2 per cell]
Ni (0.0000, 0.1678, 0.5000) [4 per cell]
Ni (0.0000, 0.5000, 0.0000) [2 per cell]
Rh (0.0000, 0.5000, 0.5000) [2 per cell]

Most intense lines, 2θ = 10–80°, by angle:
24.72 deg, intensity 90.0; 28.53 deg, intensity 91.6; 30.69 deg, intensity 60.6; 36.28 deg, intensity 86.2; 36.91 deg, intensity 82.2; 45.95 deg, intensity 100.0

Record 12
Th2Ni5Rh5: simulated powder X-ray diffraction pattern (Cu Kα, 1.54184 Å), based on a crystal structure in Alexandria, relaxed with GGA-PBE.

abc: 4.0742 5.2752 8.8329
angles: 90.00 90.00 90.00
Space group Pmmm (No. 47)
Inequivalent atoms, fractional coordinates:
Th (0.0000, 0.0000, 0.0000) [1 per cell]
Th (0.0000, 0.5000, 0.5000) [1 per cell]
Ni (0.0000, 0.0000, 0.3329) [2 per cell]
Ni (0.0000, 0.5000, 0.1557) [2 per cell]
Ni (0.5000, 0.5000, 0.0000) [1 per cell]
Rh (0.5000, 0.0000, 0.5000) [1 per cell]
Rh (0.5000, 0.2514, 0.2439) [4 per cell]

Most intense lines, 2θ = 10–80°, by angle:
29.49 deg, intensity 75.0; 29.84 deg, intensity 53.8; 39.81 deg, intensity 62.9; 40.75 deg, intensity 63.4; 41.53 deg, intensity 100.0; 44.47 deg, intensity 45.5

Record 13
ThZnNiRh: simulated powder X-ray diffraction pattern (Cu Kα, 1.54184 Å), based on a crystal structure in Alexandria, relaxed with GGA-PBE.

abc: 7.4122 4.2823 5.2506
angles: 90.00 118.28 90.00
Space group Cm (No. 8)
Inequivalent atoms, fractional coordinates:
Th (0.0000, 0.0000, 0.0000) [2 per cell]
Zn (0.4958, 0.0000, 0.4878) [2 per cell]
Ni (0.2929, 0.5000, 0.3793) [2 per cell]
Rh (0.2157, 0.0000, 0.6468) [2 per cell]

Most intense lines, 2θ = 10–80°, by angle:
24.86 deg, intensity 60.6; 27.28 deg, intensity 25.0; 35.44 deg, intensity 100.0; 40.58 deg, intensity 28.8; 42.22 deg, intensity 85.6; 58.74 deg, intensity 21.1